Entry 1:
Tb3Pm2Nd9: simulated powder X-ray diffraction pattern (CuKα), based on DFT lattice parameters and positions (PBE).
Lines closer than 0.1° are merged.

Structural model:
a b c (Å): 9.1847 9.1847 13.8616
angles (deg): 90.00 90.00 120.00
Space group P6_3/m (No. 176)
Inequivalent atoms, fractional coordinates:
Tb 0.0785 0.2492 0.2500 (multiplicity 6)
Pm 0.3333 0.6667 0.1410 (multiplicity 4)
Nd 0.0814 0.4812 0.7500 (multiplicity 6)
Nd 0.1301 0.7239 0.5401 (multiplicity 12)

Largest 10 diffraction maxima, by intensity, 2θ = 10–90°:
two_theta	intensity	h k l
32.44	100	2 1 2
30.42	66	2 1 1
29.65	39	2 0 3
52.74	27	1 4 0
34.26	22	1 0 5
35.63	21	2 1 3
25.71	21	0 0 4
53.05	16	1 3 5
59.57	15	1 4 4
42.98	10	3 0 4



Entry 2:
Tb3Pm8Nd4: simulated powder X-ray diffraction pattern (CuKα), based on DFT lattice parameters and positions (PBE).
Lines closer than 0.1° are merged.

Structural model:
a b c (Å): 7.0695 7.0695 36.1593
angles (deg): 90.00 90.00 120.00
Space group R-3m (No. 166, hexagonal axes)
Inequivalent atoms, fractional coordinates:
Tb 0.0000 0.5000 0.0000 (multiplicity 9)
Pm 0.0000 0.0000 0.2543 (multiplicity 6)
Pm 0.0017 0.5009 0.2511 (multiplicity 18)
Nd 0.0000 0.0000 0.0000 (multiplicity 3)
Nd 0.0000 0.0000 0.1638 (multiplicity 6)
Nd 0.0000 0.0000 0.5000 (multiplicity 3)

Largest 10 diffraction maxima, by intensity, 2θ = 10–90°:
two_theta	intensity	h k l
30.84	100	0 2 4
35.42	73	2 0 8
29.64	68	0 0 12
60.75	46	2 2 12
51.72	37	2 2 0
84.46	28	2 2 24
50.17	28	0 2 16
29.29	26	0 2 1
59.37	18	2 0 20
26.27	18	1 1 3



Entry 3:
TbPm4Nd2: simulated powder X-ray diffraction pattern (CuKα), based on DFT lattice parameters and positions (PBE).
Lines closer than 0.1° are merged.

Structural model:
a b c (Å): 5.4314 11.5154 15.5913
angles (deg): 90.00 90.00 90.00
Space group Cmce (No. 64)
Inequivalent atoms, fractional coordinates:
Tb 0.0000 0.0000 0.0000 (multiplicity 4)
Pm 0.0000 0.1029 0.1937 (multiplicity 8)
Pm 0.0000 0.2069 0.4295 (multiplicity 8)
Nd 0.0000 0.1050 0.6566 (multiplicity 8)

Largest 10 diffraction maxima, by intensity, 2θ = 10–90°:
two_theta	intensity	h k l
29.25	100	1 1 4
30.74	88	1 3 2
32.98	58	2 0 0
29.06	43	1 3 1
60.26	35	1 5 7
33.17	30	0 4 2
34.05	30	1 1 5
47.48	22	2 4 2
37.99	18	0 2 6
56.62	16	3 1 4



Entry 4:
Tb2PmNd12: simulated powder X-ray diffraction pattern (CuKα), based on DFT lattice parameters and positions (PBE).
Lines closer than 0.1° are merged.

Structural model:
a b c (Å): 7.2236 11.6692 25.1100
angles (deg): 90.00 90.00 90.00
Space group Cmme (No. 67)
Inequivalent atoms, fractional coordinates:
Tb 0.0000 0.2500 0.2284 (multiplicity 4)
Tb 0.0000 0.2500 0.7672 (multiplicity 4)
Pm 0.0000 0.2500 0.4988 (multiplicity 4)
Nd 0.0000 0.0025 0.5748 (multiplicity 8)
Nd 0.0000 0.0241 0.0600 (multiplicity 8)
Nd 0.2305 0.2500 0.9155 (multiplicity 8)
Nd 0.2480 0.2500 0.3693 (multiplicity 8)
Nd 0.2500 0.0000 0.1749 (multiplicity 8)
Nd 0.2500 0.0000 0.3006 (multiplicity 8)

Largest 10 diffraction maxima, by intensity, 2θ = 10–90°:
two_theta	intensity	h k l
32.42	100	0 2 8
29.95	71	2 2 2
30.65	70	0 4 0
29.23	50	0 2 7
36.28	35	2 2 6
28.50	28	2 0 4
57.24	22	2 4 11
31.02	21	2 2 3
55.61	20	0 6 8
60.27	20	4 4 0